Diffraction record for Zr4Rh. The XRD peak list is calculated, not measured: it uses a crystal structure in Alexandria, relaxed with PBE and Cu Kα (weighted mean of Kα1 and Kα2).
No peak broadening, texture or thermal motion is included.

Largest 6 diffraction maxima, most intense first, 2θ = 10–80°:
36.93°, intensity 100.0; 36.10°, intensity 51.2; 65.46°, intensity 30.4; 51.98°, intensity 16.5; 67.07°, intensity 15.9; 78.60°, intensity 9.4

Structure:
```
5
Lattice="-3.934 3.934 1.686 3.934 -3.934 1.686 3.934 3.934 -1.686" Properties=species:S:1:pos:R:3 pbc="T T T"
Zr 5.650 0.686 0.000
Zr 0.686 2.217 0.000
Zr 3.247 1.716 1.686
Zr -1.716 3.247 1.686
Rh 0.000 0.000 1.686
```